Simulated X-ray powder pattern of Sr4Fe3ReO12 for a wavelength of 1.5418 Å, from DFT lattice parameters and positions (PBE+U).
Lines closer than 0.1° are merged.

Atomic structure:
Lattice parameters (Å, degrees): 6.9032 6.9032 6.9032 109.47 109.47 109.47
Positions (direct):
1 Sr 0.0000 0.0000 0.5000
2 Sr 0.0000 0.5000 0.0000
3 Sr 0.5000 0.0000 0.0000
4 Sr 0.5000 0.5000 0.5000
5 Fe 0.0000 0.5000 0.5000
6 Fe 0.5000 0.0000 0.5000
7 Fe 0.5000 0.5000 0.0000
8 Re 0.0000 0.0000 0.0000
9 O 0.0000 0.2370 0.2370
10 O 0.0000 0.7630 0.7630
11 O 0.2370 0.0000 0.2370
12 O 0.2370 0.2370 0.0000
13 O 0.2500 0.5000 0.7500
14 O 0.2500 0.7500 0.5000
15 O 0.5000 0.2500 0.7500
16 O 0.5000 0.7500 0.2500
17 O 0.7500 0.2500 0.5000
18 O 0.7500 0.5000 0.2500
19 O 0.7630 0.0000 0.7630
20 O 0.7630 0.7630 0.0000

Most intense lines, 5° ≤ 2θ ≤ 70°, in order of falling intensity:
2θ (°)  I_rel
31.75  100
56.56  39
45.52  35
15.72  21
66.34  20
27.41  12